[1]
Computed XRD peak list
Compound: Zr2Al6Rh
Radiation: Cu Kα, 1.54184 Å
Structure: a structure optimized by DFT (GGA-PBE)
Kinematic intensities with the Lorentz-polarization factor, no thermal factor.

```
Zr2Al6Rh
1.0
5.627 0.000 0.000
-2.814 4.873 0.000
0.000 0.000 5.667
Zr Al Rh
2 6 1
direct
0.333 0.667 0.129
0.667 0.333 0.871
0.175 0.349 0.685
0.175 0.825 0.685
0.349 0.175 0.315
0.651 0.825 0.685
0.825 0.175 0.315
0.825 0.651 0.315
0.000 0.000 0.000
```

Peak list (8 most intense, 10° ≤ 2θ ≤ 90°, in order of falling intensity)
2.520 Å, intensity 100.0; 2.238 Å, intensity 70.0; 2.450 Å, intensity 69.5; 2.814 Å, intensity 59.7; 5.667 Å, intensity 55.8; 1.544 Å, intensity 26.8; 1.761 Å, intensity 26.7; 3.695 Å, intensity 24.7

=====

[2]
Computed XRD peak list
Compound: Al4Ru
Radiation: Cu Kα, 1.54184 Å
Structure: a structure optimized by DFT (GGA-PBE)
Kinematic intensities with the Lorentz-polarization factor, no thermal factor.

```
Al4Ru
1.0
-3.133 3.133 1.877
3.133 -3.133 1.877
3.133 3.133 -1.877
Al Ru
4 1
direct
0.105 0.703 0.808
0.297 0.105 0.402
0.703 0.895 0.598
0.895 0.297 0.192
0.500 0.500 0.000
```

Peak list (8 most intense, 10° ≤ 2θ ≤ 90°, in order of falling intensity)
2.246 Å, intensity 100.0; 4.431 Å, intensity 37.0; 1.982 Å, intensity 34.0; 3.220 Å, intensity 31.8; 1.189 Å, intensity 23.9; 1.363 Å, intensity 19.6; 3.133 Å, intensity 13.2; 1.877 Å, intensity 12.8

=====

[3]
Computed XRD peak list
Compound: Al6Ru7
Radiation: Cu Kα, 1.54184 Å
Structure: a structure optimized by DFT (GGA-PBE)
Kinematic intensities with the Lorentz-polarization factor, no thermal factor.

```
Al6Ru7
1.0
2.574 1.486 8.628
-2.574 1.486 8.628
0.000 -2.972 8.628
Al Ru
6 7
direct
0.049 0.049 0.049
0.154 0.154 0.154
0.336 0.336 0.336
0.664 0.664 0.664
0.846 0.846 0.846
0.951 0.951 0.951
0.078 0.591 0.591
0.409 0.409 0.922
0.409 0.922 0.409
0.500 0.500 0.500
0.591 0.078 0.591
0.591 0.591 0.078
0.922 0.409 0.409
```

Peak list (8 most intense, 10° ≤ 2θ ≤ 90°, in order of falling intensity)
2.047 Å, intensity 100.0; 4.314 Å, intensity 98.8; 2.211 Å, intensity 84.3; 4.394 Å, intensity 77.9; 1.909 Å, intensity 63.9; 2.221 Å, intensity 63.7; 2.157 Å, intensity 46.9; 1.287 Å, intensity 43.9

=====

[4]
Computed XRD peak list
Compound: AlRu2
Radiation: Cu Kα, 1.54184 Å
Structure: a structure optimized by DFT (GGA-PBE)
Kinematic intensities with the Lorentz-polarization factor, no thermal factor.

```
AlRu2
1.0
-1.905 1.905 11.682
1.905 -1.905 11.682
1.905 1.905 -11.682
Al Ru
4 8
direct
0.296 0.546 0.750
0.454 0.704 0.750
0.546 0.296 0.250
0.704 0.454 0.250
0.038 0.788 0.250
0.128 0.378 0.750
0.212 0.962 0.250
0.378 0.128 0.250
0.622 0.872 0.750
0.788 0.038 0.750
0.872 0.622 0.250
0.962 0.212 0.750
```

Peak list (8 most intense, 10° ≤ 2θ ≤ 90°, in order of falling intensity)
2.216 Å, intensity 100.0; 1.905 Å, intensity 32.0; 1.151 Å, intensity 23.6; 1.362 Å, intensity 19.2; 1.947 Å, intensity 15.8; 3.761 Å, intensity 15.4; 2.953 Å, intensity 14.7; 1.169 Å, intensity 10.6

=====

[5]
Computed XRD peak list
Compound: Al12Ru
Radiation: Cu Kα, 1.54184 Å
Structure: a structure optimized by DFT (GGA-PBE)
Kinematic intensities with the Lorentz-polarization factor, no thermal factor.

```
Al12Ru
1.0
-3.761 3.761 3.761
3.761 -3.761 3.761
3.761 3.761 -3.761
Al Ru
12 1
direct
0.117 0.307 0.810
0.190 0.497 0.307
0.190 0.883 0.693
0.307 0.190 0.497
0.307 0.810 0.117
0.497 0.307 0.190
0.503 0.693 0.810
0.693 0.190 0.883
0.693 0.810 0.503
0.810 0.117 0.307
0.810 0.503 0.693
0.883 0.693 0.190
0.000 0.000 0.000
```

Peak list (8 most intense, 10° ≤ 2θ ≤ 90°, in order of falling intensity)
2.379 Å, intensity 100.0; 2.010 Å, intensity 95.1; 5.319 Å, intensity 89.0; 2.171 Å, intensity 53.9; 3.071 Å, intensity 41.4; 1.220 Å, intensity 39.6; 1.290 Å, intensity 29.2; 1.475 Å, intensity 26.6

=====

[6]
Computed XRD peak list
Compound: Al13Ru2
Radiation: Cu Kα, 1.54184 Å
Structure: a structure optimized by DFT (GGA-PBE)
Kinematic intensities with the Lorentz-polarization factor, no thermal factor.

```
Al13Ru2
1.0
5.077 0.000 0.000
-0.922 6.379 0.000
-0.399 -2.889 7.585
Al Ru
13 2
direct
0.000 0.000 0.000
0.027 0.465 0.652
0.245 0.979 0.572
0.259 0.377 0.924
0.274 0.802 0.188
0.435 0.810 0.853
0.482 0.588 0.375
0.518 0.412 0.625
0.565 0.190 0.147
0.726 0.198 0.812
0.741 0.623 0.076
0.755 0.021 0.428
0.973 0.535 0.348
0.195 0.200 0.351
0.805 0.800 0.649
```

Peak list (8 most intense, 10° ≤ 2θ ≤ 90°, in order of falling intensity)
7.585 Å, intensity 100.0; 2.099 Å, intensity 63.2; 3.983 Å, intensity 60.4; 2.025 Å, intensity 59.1; 4.198 Å, intensity 58.8; 3.187 Å, intensity 57.8; 2.064 Å, intensity 54.8; 3.635 Å, intensity 53.0

=====

[7]
Computed XRD peak list
Compound: AlRu
Radiation: Cu Kα, 1.54184 Å
Structure: a structure optimized by DFT (GGA-PBE)
Kinematic intensities with the Lorentz-polarization factor, no thermal factor.

```
AlRu
1.0
-1.504 2.056 4.497
1.504 -2.056 4.497
1.504 2.056 -4.497
Al Ru
2 2
direct
0.366 0.116 0.250
0.634 0.884 0.750
0.122 0.372 0.750
0.878 0.628 0.250
```

Peak list (8 most intense, 10° ≤ 2θ ≤ 90°, in order of falling intensity)
2.136 Å, intensity 100.0; 3.739 Å, intensity 43.7; 2.249 Å, intensity 28.9; 2.056 Å, intensity 22.3; 2.853 Å, intensity 18.1; 1.276 Å, intensity 17.7; 1.517 Å, intensity 16.3; 1.202 Å, intensity 15.0

=====

[8]
Computed XRD peak list
Compound: Al6Ru
Radiation: Cu Kα, 1.54184 Å
Structure: a structure optimized by DFT (GGA-PBE)
Kinematic intensities with the Lorentz-polarization factor, no thermal factor.

```
Al6Ru
1.0
3.740 -3.293 0.000
3.740 3.293 0.000
0.000 0.000 9.030
Al Ru
12 2
direct
0.022 0.618 0.250
0.142 0.858 0.599
0.142 0.858 0.901
0.319 0.319 0.000
0.319 0.319 0.500
0.382 0.978 0.250
0.618 0.022 0.750
0.681 0.681 0.000
0.681 0.681 0.500
0.858 0.142 0.099
0.858 0.142 0.401
0.978 0.382 0.750
0.464 0.536 0.750
0.536 0.464 0.250
```

Peak list (8 most intense, 10° ≤ 2θ ≤ 90°, in order of falling intensity)
4.943 Å, intensity 100.0; 2.072 Å, intensity 93.4; 2.168 Å, intensity 85.2; 2.053 Å, intensity 82.9; 3.334 Å, intensity 75.0; 2.258 Å, intensity 62.7; 2.106 Å, intensity 43.9; 4.515 Å, intensity 43.9

=====

[9]
Computed XRD peak list
Compound: Al4Ru
Radiation: Cu Kα, 1.54184 Å
Structure: a structure optimized by DFT (GGA-PBE)
Kinematic intensities with the Lorentz-polarization factor, no thermal factor.

```
Al4Ru
1.0
4.958 0.000 0.000
0.000 4.958 0.000
0.000 0.000 6.530
Al Ru
8 2
direct
0.112 0.245 0.342
0.245 0.888 0.658
0.255 0.388 0.842
0.388 0.745 0.158
0.612 0.255 0.158
0.745 0.612 0.842
0.755 0.112 0.658
0.888 0.755 0.342
0.000 0.000 0.000
0.500 0.500 0.500
```

Peak list (8 most intense, 10° ≤ 2θ ≤ 90°, in order of falling intensity)
2.099 Å, intensity 100.0; 3.949 Å, intensity 99.7; 3.506 Å, intensity 66.4; 2.389 Å, intensity 59.7; 1.993 Å, intensity 50.3; 1.974 Å, intensity 33.9; 1.602 Å, intensity 17.1; 1.413 Å, intensity 17.0

=====

[10]
Computed XRD peak list
Compound: Al13Ru4
Radiation: Cu Kα, 1.54184 Å
Structure: a structure optimized by DFT (GGA-PBE)
Kinematic intensities with the Lorentz-polarization factor, no thermal factor.

```
Al13Ru4
1.0
7.971 -4.103 0.000
7.971 4.103 0.000
-3.894 0.000 12.185
Al Ru
39 12
direct
0.000 0.000 0.000
0.018 0.018 0.670
0.083 0.652 0.609
0.087 0.642 0.980
0.094 0.534 0.390
0.100 0.542 0.164
0.177 0.177 0.217
0.190 0.190 0.726
0.223 0.758 0.829
0.242 0.777 0.171
0.249 0.751 0.500
0.261 0.261 0.544
0.264 0.264 0.960
0.348 0.917 0.391
0.358 0.913 0.020
0.418 0.418 0.714
0.428 0.428 0.920
0.432 0.432 0.325
0.458 0.900 0.836
0.466 0.906 0.610
0.534 0.094 0.390
0.542 0.100 0.164
0.568 0.568 0.675
0.572 0.572 0.080
0.582 0.582 0.286
0.642 0.087 0.980
0.652 0.083 0.609
0.736 0.736 0.040
0.739 0.739 0.456
0.751 0.249 0.500
0.758 0.223 0.829
0.777 0.242 0.171
0.810 0.810 0.274
0.823 0.823 0.783
0.900 0.458 0.836
0.906 0.466 0.610
0.913 0.358 0.020
0.917 0.348 0.391
0.982 0.982 0.330
0.099 0.099 0.876
0.100 0.100 0.516
0.116 0.522 0.778
0.408 0.408 0.512
0.415 0.415 0.117
0.478 0.884 0.222
0.522 0.116 0.778
0.585 0.585 0.883
0.592 0.592 0.488
0.884 0.478 0.222
0.900 0.900 0.484
0.901 0.901 0.124
```

Peak list (8 most intense, 10° ≤ 2θ ≤ 90°, in order of falling intensity)
2.154 Å, intensity 100.0; 3.608 Å, intensity 89.9; 2.095 Å, intensity 89.3; 2.147 Å, intensity 84.8; 2.090 Å, intensity 75.6; 3.328 Å, intensity 75.6; 4.061 Å, intensity 73.9; 2.079 Å, intensity 73.5

=====

[11]
Computed XRD peak list
Compound: Al12Ru
Radiation: Cu Kα, 1.54184 Å
Structure: a structure optimized by DFT (GGA-PBE)
Kinematic intensities with the Lorentz-polarization factor, no thermal factor.

```
Al12Ru
1.0
9.499 0.000 0.000
0.000 9.499 0.000
0.000 0.000 9.499
Al Ru
48 4
direct
0.000 0.000 0.353
0.000 0.000 0.647
0.000 0.353 0.000
0.000 0.647 0.000
0.030 0.310 0.310
0.030 0.690 0.690
0.140 0.140 0.860
0.140 0.860 0.140
0.143 0.500 0.500
0.202 0.202 0.561
0.202 0.439 0.798
0.202 0.561 0.202
0.202 0.798 0.439
0.310 0.030 0.310
0.310 0.310 0.030
0.310 0.690 0.970
0.310 0.970 0.690
0.313 0.313 0.313
0.313 0.687 0.687
0.353 0.000 0.000
0.400 0.400 0.600
0.400 0.600 0.400
0.439 0.202 0.798
0.439 0.798 0.202
0.500 0.143 0.500
0.500 0.500 0.143
0.500 0.500 0.857
0.500 0.857 0.500
0.561 0.202 0.202
0.561 0.798 0.798
0.600 0.400 0.400
0.600 0.600 0.600
0.647 0.000 0.000
0.687 0.313 0.687
0.687 0.687 0.313
0.690 0.030 0.690
0.690 0.310 0.970
0.690 0.690 0.030
0.690 0.970 0.310
0.798 0.202 0.439
0.798 0.439 0.202
0.798 0.561 0.798
0.798 0.798 0.561
0.857 0.500 0.500
0.860 0.140 0.140
0.860 0.860 0.860
0.970 0.310 0.690
0.970 0.690 0.310
0.134 0.134 0.134
0.134 0.866 0.866
0.866 0.134 0.866
0.866 0.866 0.134
```

Peak list (8 most intense, 10° ≤ 2θ ≤ 90°, in order of falling intensity)
2.239 Å, intensity 100.0; 6.717 Å, intensity 23.6; 3.166 Å, intensity 18.0; 2.742 Å, intensity 15.6; 1.293 Å, intensity 14.1; 3.878 Å, intensity 12.7; 1.169 Å, intensity 10.7; 1.863 Å, intensity 10.3